This entry pairs a crystal structure of LaCeCdIr with its theoretical XRD peak list. Radiation: λ = 1.5418 Å (Cu Kα). Structure: a cell relaxed with PBE.
Lines closer than 0.1° are merged.

Principal peaks in the range 2θ from 15° to 90°, sorted by position:
d/Å, Rel. int.
4.261, 4
2.610, 100
1.845, 18
1.507, 37
1.305, 11
1.167, 16

Structure:
Cell lengths 5.219, 5.219, 5.219 Å; angles 60.00, 60.00, 60.00 degrees
Fractional positions:
La (0.000, 0.000, 0.000)
Ce (0.500, 0.500, 0.500)
Cd (0.250, 0.250, 0.250)
Ir (0.750, 0.750, 0.750)

---

This entry pairs a crystal structure of Ca3Tb3PmTe8 with its theoretical XRD peak list. Radiation: λ = 1.5418 Å (Cu Kα). Structure: a cell relaxed with PBE.
Lines closer than 0.1° are merged.

Principal peaks in the range 2θ from 15° to 90°, sorted by position:
d/Å, Rel. int.
3.132, 100
2.231, 39
2.199, 37
1.800, 20
1.409, 17
1.393, 17

Structure:
Cell lengths 8.925, 8.925, 8.925 Å; angles 59.04, 59.04, 59.04 degrees
Fractional positions:
Ca (0.000, 0.500, 0.500)
Ca (0.500, 0.000, 0.500)
Ca (0.500, 0.500, 0.000)
Tb (0.000, 0.000, 0.500)
Tb (0.000, 0.500, 0.000)
Tb (0.500, 0.000, 0.000)
Pm (0.500, 0.500, 0.500)
Te (0.241, 0.754, 0.754)
Te (0.246, 0.246, 0.759)
Te (0.246, 0.759, 0.246)
Te (0.249, 0.249, 0.249)
Te (0.751, 0.751, 0.751)
Te (0.754, 0.241, 0.754)
Te (0.754, 0.754, 0.241)
Te (0.759, 0.246, 0.246)

---

This entry pairs a crystal structure of BaTa3O8 with its theoretical XRD peak list. Radiation: λ = 1.5418 Å (Cu Kα). Structure: a cell relaxed with PBE.
Lines closer than 0.1° are merged.

Principal peaks in the range 2θ from 15° to 90°, sorted by position:
d/Å, Rel. int.
3.940, 56
2.810, 67
2.763, 100
2.567, 30
2.162, 38
1.970, 28

Structure:
Cell lengths 5.526, 5.526, 6.943 Å; angles 90.00, 90.00, 120.00 degrees
Fractional positions:
Ba (0.000, 0.000, 0.000)
Ta (0.000, 0.000, 0.500)
Ta (0.333, 0.667, 0.604)
Ta (0.667, 0.333, 0.396)
O (0.043, 0.355, 0.376)
O (0.312, 0.957, 0.376)
O (0.333, 0.667, 0.866)
O (0.355, 0.312, 0.624)
O (0.645, 0.688, 0.376)
O (0.667, 0.333, 0.134)
O (0.688, 0.043, 0.624)
O (0.957, 0.645, 0.624)